No. 1
This entry pairs a crystal structure of HoHgF3 with its simulated powder diffractogram. Radiation: copper Kα. Structure: a structure optimized by DFT (PBE).

Top 10 peaks for 15° ≤ 2θ ≤ 90°, in order of rising 2θ:
18.42°, intensity 84
22.83°, intensity 45
23.27°, intensity 50
29.15°, intensity 85
37.62°, intensity 100
51.67°, intensity 25
56.77°, intensity 27
57.40°, intensity 27
65.66°, intensity 19
88.15°, intensity 18

Cell and atoms:
```
HoHgF3
1.0
3.064 1.769 7.645
-3.064 1.769 7.645
0.000 -3.538 7.645
Ho Hg F
2 2 6
Direct
0.175 0.175 0.175 Ho
0.825 0.825 0.825 Ho
0.338 0.338 0.338 Hg
0.662 0.662 0.662 Hg
0.073 0.432 0.852 F
0.148 0.927 0.568 F
0.432 0.852 0.073 F
0.568 0.148 0.927 F
0.852 0.073 0.432 F
0.927 0.568 0.148 F
```

No. 2
This entry pairs a crystal structure of Hg2IF3 with its simulated powder diffractogram. Radiation: copper Kα. Structure: a structure optimized by DFT (PBE).

Top 10 peaks for 15° ≤ 2θ ≤ 90°, in order of rising 2θ:
15.83°, intensity 22
20.96°, intensity 100
27.48°, intensity 75
27.81°, intensity 32
28.09°, intensity 79
38.96°, intensity 26
40.15°, intensity 29
43.65°, intensity 28
44.84°, intensity 34
45.17°, intensity 25

Cell and atoms:
```
Hg2IF3
1.0
4.150 0.000 0.000
-1.996 6.417 0.000
-0.331 -0.193 11.119
Hg I F
4 2 6
Direct
0.082 0.138 0.247 Hg
0.379 0.728 0.067 Hg
0.621 0.272 0.933 Hg
0.918 0.862 0.753 Hg
0.343 0.709 0.604 I
0.657 0.291 0.396 I
0.076 0.206 0.822 F
0.204 0.384 0.071 F
0.438 0.924 0.884 F
0.562 0.076 0.116 F
0.796 0.616 0.929 F
0.924 0.794 0.178 F
```

No. 3
This entry pairs a crystal structure of Hg2IF with its simulated powder diffractogram. Radiation: copper Kα. Structure: a structure optimized by DFT (PBE).

Top 10 peaks for 15° ≤ 2θ ≤ 90°, in order of rising 2θ:
17.28°, intensity 28
22.26°, intensity 100
22.82°, intensity 75
28.31°, intensity 51
31.10°, intensity 97
33.75°, intensity 38
35.79°, intensity 85
38.16°, intensity 62
42.94°, intensity 49
48.91°, intensity 30

Cell and atoms:
```
Hg2IF
1.0
5.925 0.000 0.000
-2.963 5.131 0.000
0.000 0.000 11.983
Hg I F
6 3 3
Direct
0.164 0.442 0.368 Hg
0.279 0.836 0.035 Hg
0.442 0.164 0.632 Hg
0.558 0.721 0.702 Hg
0.721 0.558 0.298 Hg
0.836 0.279 0.965 Hg
0.000 0.575 0.667 I
0.425 0.425 0.000 I
0.575 0.000 0.333 I
0.000 0.851 0.167 F
0.149 0.149 0.500 F
0.851 0.000 0.833 F
```

No. 4
This entry pairs a crystal structure of UHg2I5F4 with its simulated powder diffractogram. Radiation: copper Kα. Structure: a structure optimized by DFT (PBE).

Top 10 peaks for 15° ≤ 2θ ≤ 90°, in order of rising 2θ:
16.88°, intensity 23
17.51°, intensity 48
23.77°, intensity 51
26.25°, intensity 56
26.45°, intensity 31
31.40°, intensity 43
34.13°, intensity 100
35.71°, intensity 31
41.37°, intensity 31
42.21°, intensity 23

Cell and atoms:
```
UHg2I5F4
1.0
7.606 0.000 0.000
0.000 6.790 4.300
0.000 -6.790 4.300
U Hg I F
1 2 5 4
Direct
0.000 0.000 0.000 U
0.500 0.012 0.576 Hg
0.500 0.576 0.012 Hg
0.240 0.304 0.784 I
0.240 0.784 0.304 I
0.500 0.858 0.858 I
0.760 0.304 0.784 I
0.760 0.784 0.304 I
0.000 0.722 0.929 F
0.000 0.929 0.722 F
0.189 0.169 0.169 F
0.811 0.169 0.169 F
```

No. 5
This entry pairs a crystal structure of InHgF2 with its simulated powder diffractogram. Radiation: copper Kα. Structure: a structure optimized by DFT (PBE).

Top 10 peaks for 15° ≤ 2θ ≤ 90°, in order of rising 2θ:
19.05°, intensity 100
24.58°, intensity 38
24.83°, intensity 39
26.91°, intensity 58
31.46°, intensity 56
32.78°, intensity 42
33.65°, intensity 42
35.08°, intensity 22
36.86°, intensity 24
42.07°, intensity 20

Cell and atoms:
```
InHgF2
1.0
3.465 0.000 0.000
-1.727 5.687 0.000
-0.276 -0.097 9.317
In Hg F
2 2 4
Direct
0.109 0.227 0.441 In
0.891 0.773 0.559 In
0.245 0.250 0.948 Hg
0.755 0.750 0.052 Hg
0.298 0.610 0.415 F
0.399 0.767 0.702 F
0.601 0.233 0.298 F
0.702 0.390 0.585 F
```

No. 6
This entry pairs a crystal structure of InHg2F with its simulated powder diffractogram. Radiation: copper Kα. Structure: a structure optimized by DFT (PBE).

Top 10 peaks for 15° ≤ 2θ ≤ 90°, in order of rising 2θ:
18.51°, intensity 20
27.92°, intensity 49
31.53°, intensity 100
32.00°, intensity 36
35.13°, intensity 40
40.37°, intensity 24
44.76°, intensity 63
47.16°, intensity 30
55.85°, intensity 33
63.58°, intensity 30

Cell and atoms:
```
InHg2F
1.0
1.646 0.950 9.587
-1.646 0.950 9.587
0.000 -1.901 9.587
In Hg F
1 2 1
Direct
0.000 0.000 0.000 In
0.101 0.101 0.101 Hg
0.899 0.899 0.899 Hg
0.500 0.500 0.500 F
```

No. 7
This entry pairs a crystal structure of InHg2F with its simulated powder diffractogram. Radiation: copper Kα. Structure: a structure optimized by DFT (PBE).

Top 10 peaks for 15° ≤ 2θ ≤ 90°, in order of rising 2θ:
21.33°, intensity 54
28.69°, intensity 22
30.34°, intensity 100
35.22°, intensity 88
43.44°, intensity 35
47.16°, intensity 72
57.11°, intensity 19
66.05°, intensity 24
74.40°, intensity 19
86.42°, intensity 19

Cell and atoms:
```
InHg2F
1.0
-4.166 4.166 2.826
4.166 -4.166 2.826
4.166 4.166 -2.826
In Hg F
2 4 2
Direct
0.000 0.000 0.000 In
0.750 0.250 0.500 In
0.149 0.625 0.024 Hg
0.375 0.399 0.524 Hg
0.601 0.125 0.976 Hg
0.875 0.851 0.476 Hg
0.250 0.750 0.500 F
0.500 0.500 0.000 F
```

No. 8
This entry pairs a crystal structure of K2InHgF6 with its simulated powder diffractogram. Radiation: copper Kα. Structure: a structure optimized by DFT (PBE).

Top 10 peaks for 15° ≤ 2θ ≤ 90°, in order of rising 2θ:
19.11°, intensity 71
19.39°, intensity 40
25.78°, intensity 24
27.35°, intensity 100
28.47°, intensity 26
38.78°, intensity 29
39.36°, intensity 21
44.10°, intensity 20
49.74°, intensity 20
56.44°, intensity 16

Cell and atoms:
```
K2InHgF6
1.0
6.269 0.000 0.000
0.000 9.158 0.000
0.000 0.000 6.913
K In Hg F
4 2 2 12
Direct
0.250 0.033 0.193 K
0.250 0.467 0.193 K
0.750 0.533 0.807 K
0.750 0.967 0.807 K
0.250 0.750 0.790 In
0.750 0.250 0.210 In
0.250 0.250 0.702 Hg
0.750 0.750 0.298 Hg
0.006 0.250 0.406 F
0.014 0.750 0.011 F
0.250 0.519 0.804 F
0.250 0.981 0.804 F
0.486 0.750 0.011 F
0.494 0.250 0.406 F
0.506 0.750 0.594 F
0.514 0.250 0.989 F
0.750 0.019 0.196 F
0.750 0.481 0.196 F
0.986 0.250 0.989 F
0.994 0.750 0.594 F
```

No. 9
This entry pairs a crystal structure of Hg2IrF6 with its simulated powder diffractogram. Radiation: copper Kα. Structure: a structure optimized by DFT (PBE).

Top 10 peaks for 15° ≤ 2θ ≤ 90°, in order of rising 2θ:
19.95°, intensity 100
28.35°, intensity 31
31.14°, intensity 40
40.53°, intensity 17
42.61°, intensity 41
45.57°, intensity 18
51.97°, intensity 13
60.25°, intensity 17
67.91°, intensity 12
82.18°, intensity 9

Cell and atoms:
```
Hg2IrF6
1.0
6.295 0.000 0.000
0.000 6.295 0.000
0.000 0.000 9.684
Hg Ir F
4 2 12
Direct
0.000 0.000 0.135 Hg
0.000 0.000 0.865 Hg
0.500 0.500 0.365 Hg
0.500 0.500 0.635 Hg
0.000 0.000 0.500 Ir
0.500 0.500 0.000 Ir
0.145 0.145 0.345 F
0.145 0.145 0.655 F
0.217 0.783 0.500 F
0.283 0.283 0.000 F
0.355 0.645 0.155 F
0.355 0.645 0.845 F
0.645 0.355 0.155 F
0.645 0.355 0.845 F
0.717 0.717 0.000 F
0.783 0.217 0.500 F
0.855 0.855 0.345 F
0.855 0.855 0.655 F
```

No. 10
This entry pairs a crystal structure of KHgF3 with its simulated powder diffractogram. Radiation: copper Kα. Structure: a structure optimized by DFT (PBE).

Top 10 peaks for 15° ≤ 2θ ≤ 90°, in order of rising 2θ:
18.89°, intensity 100
24.57°, intensity 55
27.98°, intensity 78
33.29°, intensity 30
36.58°, intensity 35
43.15°, intensity 22
43.47°, intensity 21
44.57°, intensity 37
50.29°, intensity 28
60.71°, intensity 19

Cell and atoms:
```
KHgF3
1.0
-2.457 2.457 8.044
2.457 -2.457 8.044
2.457 2.457 -8.044
K Hg F
2 2 6
Direct
0.100 0.100 0.000 K
0.900 0.900 0.000 K
0.500 0.500 0.000 Hg
0.750 0.250 0.500 Hg
0.028 0.528 0.500 F
0.116 0.362 0.755 F
0.472 0.972 0.500 F
0.607 0.362 0.245 F
0.638 0.393 0.755 F
0.638 0.884 0.245 F
```

No. 11
This entry pairs a crystal structure of K6HgF12 with its simulated powder diffractogram. Radiation: copper Kα. Structure: a structure optimized by DFT (PBE).

Top 10 peaks for 15° ≤ 2θ ≤ 90°, in order of rising 2θ:
15.72°, intensity 23
19.10°, intensity 40
20.03°, intensity 31
25.29°, intensity 32
25.56°, intensity 100
29.52°, intensity 30
41.01°, intensity 23
42.07°, intensity 45
42.41°, intensity 31
50.03°, intensity 25

Cell and atoms:
```
K6HgF12
1.0
5.639 3.255 3.522
-5.639 3.255 3.522
0.000 -6.511 3.522
K Hg F
6 1 12
Direct
0.161 0.617 0.268 K
0.268 0.161 0.617 K
0.383 0.732 0.839 K
0.617 0.268 0.161 K
0.732 0.839 0.383 K
0.839 0.383 0.732 K
0.000 0.000 0.000 Hg
0.030 0.710 0.939 F
0.061 0.970 0.290 F
0.133 0.471 0.568 F
0.290 0.061 0.970 F
0.432 0.867 0.529 F
0.471 0.568 0.133 F
0.529 0.432 0.867 F
0.568 0.133 0.471 F
0.710 0.939 0.030 F
0.867 0.529 0.432 F
0.939 0.030 0.710 F
0.970 0.290 0.061 F
```

No. 12
This entry pairs a crystal structure of K4Hg2F9 with its simulated powder diffractogram. Radiation: copper Kα. Structure: a structure optimized by DFT (PBE).

Top 10 peaks for 15° ≤ 2θ ≤ 90°, in order of rising 2θ:
15.74°, intensity 48
15.90°, intensity 90
19.14°, intensity 23
26.62°, intensity 100
27.53°, intensity 53
27.80°, intensity 24
38.89°, intensity 24
42.94°, intensity 27
48.12°, intensity 23
48.48°, intensity 26

Cell and atoms:
```
K4Hg2F9
1.0
5.629 -3.209 0.000
5.629 3.209 0.000
-0.122 0.000 16.735
K Hg F
8 4 18
Direct
0.151 0.175 0.307 K
0.164 0.173 0.024 K
0.173 0.164 0.524 K
0.175 0.151 0.807 K
0.825 0.849 0.193 K
0.827 0.836 0.476 K
0.836 0.827 0.976 K
0.849 0.825 0.693 K
0.481 0.503 0.355 Hg
0.497 0.519 0.145 Hg
0.503 0.481 0.855 Hg
0.519 0.497 0.645 Hg
0.157 0.797 0.088 F
0.193 0.454 0.909 F
0.200 0.535 0.587 F
0.203 0.843 0.412 F
0.212 0.533 0.267 F
0.266 0.734 0.750 F
0.454 0.193 0.409 F
0.465 0.800 0.913 F
0.467 0.788 0.233 F
0.533 0.212 0.767 F
0.535 0.200 0.087 F
0.546 0.807 0.591 F
0.734 0.266 0.250 F
0.788 0.467 0.733 F
0.797 0.157 0.588 F
0.800 0.465 0.413 F
0.807 0.546 0.091 F
0.843 0.203 0.912 F
```

No. 13
This entry pairs a crystal structure of KHgF3 with its simulated powder diffractogram. Radiation: copper Kα. Structure: a structure optimized by DFT (PBE).

Top 10 peaks for 15° ≤ 2θ ≤ 90°, in order of rising 2θ:
15.43°, intensity 86
18.28°, intensity 31
24.24°, intensity 75
25.03°, intensity 60
27.99°, intensity 32
28.36°, intensity 100
31.09°, intensity 37
32.07°, intensity 40
42.59°, intensity 41
43.56°, intensity 43

Cell and atoms:
```
KHgF3
1.0
7.217 -1.809 0.000
7.217 1.809 0.000
-1.315 0.000 7.753
K Hg F
2 2 6
Direct
0.133 0.133 0.379 K
0.867 0.867 0.621 K
0.360 0.360 0.136 Hg
0.640 0.640 0.864 Hg
0.042 0.042 0.765 F
0.181 0.181 0.059 F
0.317 0.317 0.398 F
0.683 0.683 0.602 F
0.819 0.819 0.941 F
0.958 0.958 0.235 F
```